[1]
# AcCdAu2
Theoretical powder X-ray diffraction pattern, Cu Kα X-rays. Input: a PBE-relaxed structure.
Intensities are scaled so that the largest is 100.

Crystal structure
a b c (Å): 5.2429 5.2429 5.2429
angles (deg): 60.00 60.00 60.00
Fractional coordinates of all 4 atoms:
1 Ac 0.0000 0.0000 0.0000
2 Cd 0.5000 0.5000 0.5000
3 Au 0.2500 0.2500 0.2500
4 Au 0.7500 0.7500 0.7500

The 10 most intense peaks (10° ≤ 2θ ≤ 80°), low angle first:
two_theta	Rel. int.
20.7	5
24.0	1
34.2	100
40.3	3
49.2	18
53.9	1
61.2	38
65.4	1
72.1	12
75.9	1



[2]
# CeSe2
Theoretical powder X-ray diffraction pattern, Cu Kα X-rays. Input: a PBE-relaxed structure.
Intensities are scaled so that the largest is 100.

Crystal structure
a b c (Å): 16.0482 16.0482 16.0482
angles (deg): 15.31 15.31 15.31
Fractional coordinates of all 3 atoms:
1 Ce 0.0000 0.0000 0.0000
2 Se 0.3640 0.3640 0.3640
3 Se 0.6360 0.6360 0.6360

The 10 most intense peaks (10° ≤ 2θ ≤ 80°), low angle first:
two_theta	Rel. int.
11.2	100
24.3	17
25.8	45
28.4	63
31.8	55
35.9	32
42.3	25
42.7	40
43.6	20
43.9	21



[3]
# Mn3Sb2
Theoretical powder X-ray diffraction pattern, Cu Kα X-rays. Input: a PBE-relaxed structure.
Intensities are scaled so that the largest is 100.

Crystal structure
a b c (Å): 4.3206 4.3206 5.3649
angles (deg): 90.00 90.00 120.00
Fractional coordinates of all 5 atoms:
1 Mn 0.0000 0.0000 0.0000
2 Mn 0.6667 0.3333 0.2473
3 Mn 0.6667 0.3333 0.7527
4 Sb 0.0000 0.0000 0.5000
5 Sb 0.3333 0.6667 0.0000

The 10 most intense peaks (10° ≤ 2θ ≤ 80°), low angle first:
two_theta	Rel. int.
29.1	85
41.4	86
41.8	100
51.7	17
54.5	19
57.1	13
60.3	27
68.6	15
76.1	26
76.4	16



[4]
# Dy2Si3Rh
Theoretical powder X-ray diffraction pattern, Cu Kα X-rays. Input: a PBE-relaxed structure.
Intensities are scaled so that the largest is 100.

Crystal structure
a b c (Å): 8.1662 8.1662 7.9257
angles (deg): 90.00 90.00 120.00
Fractional coordinates of all 24 atoms:
1 Dy 0.0000 0.0000 0.2500
2 Dy 0.0000 0.0000 0.7500
3 Dy 0.0078 0.5039 0.2500
4 Dy 0.4961 0.5039 0.2500
5 Dy 0.4961 0.9922 0.2500
6 Dy 0.5039 0.0078 0.7500
7 Dy 0.5039 0.4961 0.7500
8 Dy 0.9922 0.4961 0.7500
9 Si 0.1661 0.3322 0.5008
10 Si 0.1661 0.3322 0.9992
11 Si 0.1661 0.8339 0.5008
12 Si 0.1661 0.8339 0.9992
13 Si 0.3322 0.1661 0.0008
14 Si 0.3322 0.1661 0.4992
15 Si 0.6678 0.8339 0.5008
16 Si 0.6678 0.8339 0.9992
17 Si 0.8339 0.1661 0.0008
18 Si 0.8339 0.1661 0.4992
19 Si 0.8339 0.6678 0.0008
20 Si 0.8339 0.6678 0.4992
21 Rh 0.3333 0.6667 0.5135
22 Rh 0.3333 0.6667 0.9865
23 Rh 0.6667 0.3333 0.0135
24 Rh 0.6667 0.3333 0.4865

The 10 most intense peaks (10° ≤ 2θ ≤ 80°), low angle first:
two_theta	Rel. int.
21.8	5
25.2	31
34.0	100
44.4	36
45.8	11
53.0	9
57.0	22
65.7	22
75.0	20
77.1	9



[5]
# GdBr3
Theoretical powder X-ray diffraction pattern, Cu Kα X-rays. Input: a PBE-relaxed structure.
Intensities are scaled so that the largest is 100.

Crystal structure
a b c (Å): 7.3678 7.3678 7.4697
angles (deg): 98.78 98.78 120.10
Fractional coordinates of all 8 atoms:
1 Gd 0.1663 0.8337 0.0000
2 Gd 0.8337 0.1663 0.0000
3 Br 0.0627 0.4295 0.7717
4 Br 0.2044 0.2044 0.2288
5 Br 0.4295 0.0627 0.7717
6 Br 0.5705 0.9373 0.2283
7 Br 0.7956 0.7956 0.7712
8 Br 0.9373 0.5705 0.2283

The 10 most intense peaks (10° ≤ 2θ ≤ 80°), low angle first:
two_theta	Rel. int.
12.4	88
13.9	22
14.4	38
16.3	24
29.3	100
29.8	49
38.1	24
41.4	23
42.1	36
42.5	49